Record 1
For Na3FeBAsO7, the GGA+U geometry in the Materials Project gives the theoretical powder diffraction line list in this record (CuKα).

Cell and atoms:
```
Na3FeBAsO7
1.0
5.2973 0.0000 0.0000
0.0000 6.8677 0.0000
-0.1773 0.0000 9.1137
Na Fe B As O
6 2 2 2 14
Direct
0.2442 0.2500 0.0727 Na
0.2479 0.0004 0.7568 Na
0.2479 0.4996 0.7568 Na
0.7521 0.9996 0.2432 Na
0.7521 0.5004 0.2432 Na
0.7558 0.7500 0.9273 Na
0.2213 0.7500 0.3301 Fe
0.7787 0.2500 0.6699 Fe
0.2655 0.7500 0.0624 B
0.7345 0.2500 0.9376 B
0.2927 0.2500 0.4233 As
0.7073 0.7500 0.5767 As
0.0301 0.7500 0.1310 O
0.1398 0.2500 0.5872 O
0.2183 0.0542 0.3125 O
0.2183 0.4458 0.3125 O
0.2977 0.7500 0.9156 O
0.3847 0.7500 0.5368 O
0.4672 0.7500 0.1664 O
0.5328 0.2500 0.8336 O
0.6153 0.2500 0.4632 O
0.7023 0.2500 0.0844 O
0.7817 0.5542 0.6875 O
0.7817 0.9458 0.6875 O
0.8602 0.7500 0.4128 O
0.9699 0.2500 0.8690 O
```

Peak list (10 most intense, 2θ from 10° to 90°, by angle)
2θ/deg, Rel. int.
19.22, 36.8
23.48, 37.1
25.54, 44.2
25.96, 100.0
29.16, 36.4
32.49, 47.0
32.67, 66.8
33.85, 59.8
47.84, 29.8
53.36, 28.0



Record 2
For BaNdMgCo2O5, the GGA+U geometry in the Materials Project gives the theoretical powder diffraction line list in this record (CuKα).

Cell and atoms:
```
BaNdMgCo2O5
1.0
3.6791 0.0000 0.0000
0.0000 4.5583 0.0000
0.0000 0.0000 8.5203
Ba Nd Mg Co O
1 1 1 2 5
Direct
0.0000 0.0000 0.0000 Ba
0.0000 0.0000 0.5000 Nd
0.5000 0.5000 0.5000 Mg
0.5000 0.5000 0.2201 Co
0.5000 0.5000 0.7799 Co
0.0000 0.5000 0.3528 O
0.0000 0.5000 0.6472 O
0.5000 0.0000 0.3194 O
0.5000 0.0000 0.6806 O
0.5000 0.5000 0.0000 O
```

Peak list (10 most intense, 2θ from 10° to 90°, by angle)
2θ/deg, Rel. int.
20.85, 27.8
28.68, 100.0
31.24, 99.7
32.15, 85.9
37.86, 45.3
39.54, 47.6
49.55, 23.8
51.84, 43.6
53.63, 57.0
58.26, 27.2



Record 3
For MgV3CoSn2P6O24, the GGA+U geometry in the Materials Project gives the theoretical powder diffraction line list in this record (CuKα).

Cell and atoms:
```
MgV3CoSn2P6O24
1.0
8.3715 0.0000 0.0000
-4.1818 7.2640 0.0000
-4.1091 -2.4156 8.4783
Mg V Co Sn P O
1 3 1 2 6 24
Direct
0.0000 0.0000 0.0000 Mg
0.4216 0.6984 0.1183 V
0.4459 0.2103 0.6676 V
0.7967 0.8867 0.6875 V
0.7943 0.3795 0.1785 Co
0.0488 0.5163 0.5630 Sn
0.2161 0.0983 0.3110 Sn
0.3331 0.0119 0.9269 P
0.3370 0.7951 0.4133 P
0.6168 0.5185 0.4147 P
0.6223 0.5880 0.9241 P
0.8959 0.0784 0.4151 P
0.9159 0.3075 0.9206 P
0.0966 0.9383 0.8695 O
0.1083 0.6374 0.3742 O
0.1190 0.1004 0.4746 O
0.1297 0.4992 0.9769 O
0.3555 0.0218 0.7745 O
0.3596 0.7961 0.2645 O
0.3761 0.9975 0.4688 O
0.3789 0.8639 0.9925 O
0.4524 0.4120 0.7800 O
0.4617 0.5320 0.2671 O
0.4739 0.2015 0.0545 O
0.4755 0.3559 0.4746 O
0.4891 0.7730 0.5560 O
0.5033 0.6213 0.9988 O
0.7211 0.7681 0.8643 O
0.7370 0.9110 0.2666 O
0.7402 0.4522 0.3766 O
0.7455 0.3175 0.7794 O
0.7798 0.6934 0.5596 O
0.7997 0.5804 0.0534 O
0.8578 0.0634 0.5558 O
0.8731 0.2600 0.0584 O
0.9248 0.1409 0.8563 O
0.9272 0.2693 0.3779 O
```

Peak list (10 most intense, 2θ from 10° to 90°, by angle)
2θ/deg, Rel. int.
10.43, 14.8
21.21, 100.0
21.37, 16.4
23.63, 38.6
23.75, 36.7
27.40, 14.6
29.89, 18.2
30.08, 18.0
37.16, 38.1
58.22, 18.1



Record 4
For Li2Fe3WO8, the GGA+U geometry in the Materials Project gives the theoretical powder diffraction line list in this record (CuKα).

Cell and atoms:
```
Li2Fe3WO8
1.0
6.1137 -6.0815 0.0000
6.1137 6.0815 0.0000
-0.0437 0.0000 8.6142
Li Fe W O
8 12 4 32
Direct
0.1221 0.1221 0.3788 Li
0.1274 0.6210 0.8755 Li
0.3741 0.3734 0.6282 Li
0.3790 0.8726 0.1245 Li
0.6215 0.1224 0.8721 Li
0.6266 0.6259 0.3718 Li
0.8776 0.3785 0.1279 Li
0.8779 0.8779 0.6212 Li
0.0004 0.4934 0.4944 Fe
0.0063 0.2498 0.7419 Fe
0.2440 0.5012 0.2431 Fe
0.2527 0.2573 0.9922 Fe
0.2644 0.0034 0.7479 Fe
0.4957 0.5043 0.0000 Fe
0.4988 0.7560 0.7569 Fe
0.5066 0.9996 0.5056 Fe
0.7427 0.7473 0.0078 Fe
0.7502 0.9937 0.2581 Fe
0.7593 0.2407 0.5000 Fe
0.9966 0.7356 0.2521 Fe
0.0012 0.9988 0.0000 W
0.2513 0.7487 0.5000 W
0.4976 0.2493 0.2529 W
0.7507 0.5024 0.7471 W
0.0041 0.0096 0.7737 O
0.0069 0.5163 0.2523 O
0.0102 0.2273 0.9935 O
0.0208 0.7459 0.4885 O
0.2276 0.0061 0.9929 O
0.2357 0.2366 0.7624 O
0.2375 0.7547 0.2727 O
0.2453 0.7625 0.7273 O
0.2475 0.5254 0.4968 O
0.2541 0.9792 0.5115 O
0.2673 0.4832 0.0036 O
0.2748 0.2440 0.2378 O
0.4746 0.7525 0.5032 O
0.4837 0.9931 0.7477 O
0.4922 0.2576 0.0199 O
0.5040 0.4742 0.2362 O
0.5107 0.2521 0.4760 O
0.5160 0.0227 0.2458 O
0.5168 0.7327 0.9964 O
0.5258 0.4960 0.7638 O
0.7310 0.2380 0.2582 O
0.7424 0.5078 0.9801 O
0.7448 0.0149 0.4871 O
0.7479 0.4893 0.5240 O
0.7560 0.7252 0.7622 O
0.7620 0.2690 0.7418 O
0.7634 0.7643 0.2376 O
0.7727 0.9898 0.0065 O
0.9773 0.4840 0.7542 O
0.9851 0.2552 0.5129 O
0.9904 0.9959 0.2263 O
0.9939 0.7724 0.0071 O
```

Peak list (10 most intense, 2θ from 10° to 90°, by angle)
2θ/deg, Rel. int.
14.53, 43.0
17.79, 98.5
17.85, 98.5
23.06, 57.3
34.45, 44.3
34.55, 61.4
36.15, 37.7
41.92, 100.0
60.64, 31.3
60.92, 31.3



Record 5
For W3O8, the GGA+U geometry in the Materials Project gives the theoretical powder diffraction line list in this record (CuKα).

Cell and atoms:
```
W3O8
1.0
5.1677 0.0000 0.0000
-1.3815 5.2766 0.0000
-0.5117 -2.3995 6.5057
W O
3 8
Direct
0.0000 0.0000 0.0000 W
0.2592 0.4683 0.8132 W
0.7408 0.5317 0.1868 W
0.0753 0.7704 0.1695 O
0.1334 0.7411 0.7729 O
0.3316 0.2988 0.5779 O
0.3765 0.2964 0.0263 O
0.6235 0.7036 0.9737 O
0.6684 0.7012 0.4221 O
0.8666 0.2589 0.2271 O
0.9247 0.2296 0.8305 O
```

Peak list (10 most intense, 2θ from 10° to 90°, by angle)
2θ/deg, Rel. int.
13.61, 100.0
17.95, 29.9
21.40, 26.6
24.41, 62.3
27.13, 71.7
27.88, 41.2
37.59, 15.8
38.83, 23.2
45.66, 18.1
56.58, 15.6



Record 6
For PrEuMnSbO6, the GGA+U geometry in the Materials Project gives the theoretical powder diffraction line list in this record (CuKα).

Cell and atoms:
```
PrEuMnSbO6
1.0
0.0000 4.0668 4.0668
4.0668 0.0000 4.0668
4.0668 4.0668 0.0000
Pr Eu Mn Sb O
1 1 1 1 6
Direct
0.0000 0.0000 0.0000 Pr
0.5000 0.5000 0.5000 Eu
0.7500 0.7500 0.7500 Mn
0.2500 0.2500 0.2500 Sb
0.0068 0.0068 0.4932 O
0.0068 0.4932 0.0068 O
0.0068 0.4932 0.4932 O
0.4932 0.0068 0.0068 O
0.4932 0.0068 0.4932 O
0.4932 0.4932 0.0068 O
```

Peak list (10 most intense, 2θ from 10° to 90°, by angle)
2θ/deg, Rel. int.
18.90, 5.6
21.85, 3.8
31.10, 100.0
38.34, 9.1
44.56, 30.5
55.33, 39.4
64.85, 18.5
73.66, 17.0
77.91, 2.8
82.09, 6.2



Record 7
For La3CrWS3O6, the GGA+U geometry in the Materials Project gives the theoretical powder diffraction line list in this record (CuKα).

Cell and atoms:
```
La3CrWS3O6
1.0
9.4978 0.0000 0.0000
-4.7489 8.2253 0.0000
0.0000 0.0000 5.6307
La Cr W S O
6 2 2 6 12
Direct
0.0889 0.4085 0.2500 La
0.3196 0.9111 0.2500 La
0.4085 0.3196 0.7500 La
0.5915 0.6804 0.2500 La
0.6804 0.0889 0.7500 La
0.9111 0.5915 0.7500 La
0.0000 0.0000 0.0000 Cr
0.0000 0.0000 0.5000 Cr
0.3333 0.6667 0.7500 W
0.6667 0.3333 0.2500 W
0.0455 0.2268 0.7500 S
0.1813 0.9545 0.7500 S
0.2268 0.1813 0.2500 S
0.7732 0.8187 0.7500 S
0.8187 0.0455 0.2500 S
0.9545 0.7732 0.2500 S
0.1605 0.6341 0.5248 O
0.1605 0.6341 0.9752 O
0.3659 0.5264 0.5248 O
0.3659 0.5264 0.9752 O
0.4736 0.8395 0.5248 O
0.4736 0.8395 0.9752 O
0.5264 0.1605 0.0248 O
0.5264 0.1605 0.4752 O
0.6341 0.4736 0.0248 O
0.6341 0.4736 0.4752 O
0.8395 0.3659 0.0248 O
0.8395 0.3659 0.4752 O
```

Peak list (10 most intense, 2θ from 10° to 90°, by angle)
2θ/deg, Rel. int.
24.52, 53.7
26.84, 54.7
28.72, 29.1
31.78, 24.2
32.66, 22.8
32.91, 100.0
43.36, 38.6
50.87, 21.1
51.05, 29.2
57.34, 21.0



Record 8
For NdFeAsO, the GGA+U geometry in the Materials Project gives the theoretical powder diffraction line list in this record (CuKα).

Cell and atoms:
```
NdFeAsO
1.0
4.0747 0.0000 0.0000
0.0000 4.0747 0.0000
0.0000 0.0000 9.1710
Nd Fe As O
2 2 2 2
Direct
0.2500 0.2500 0.1272 Nd
0.7500 0.7500 0.8728 Nd
0.2500 0.7500 0.5000 Fe
0.7500 0.2500 0.5000 Fe
0.2500 0.2500 0.6794 As
0.7500 0.7500 0.3206 As
0.2500 0.7500 0.0000 O
0.7500 0.2500 0.0000 O
```

Peak list (10 most intense, 2θ from 10° to 90°, by angle)
2θ/deg, Rel. int.
29.32, 100.0
31.04, 21.7
32.58, 21.9
36.80, 39.1
44.47, 33.3
50.90, 27.6
54.16, 38.0
64.71, 10.4
86.68, 11.4
89.27, 9.0